1.
Simulated powder diffractogram
Compound: Sm2Ga3Ni
Radiation: a wavelength of 1.5418 Å
Structure: a structure optimized by DFT (PBE)

Cell and atoms:
```
data_Sm2Ga3Ni
_cell_length_a 10.326
_cell_length_b 4.389
_cell_length_c 7.261
_cell_angle_alpha 90.00
_cell_angle_beta 133.46
_cell_angle_gamma 90.00
_symmetry_space_group_name_H-M 'C 1 m 1'
_symmetry_Int_Tables_number 8
loop_
_symmetry_equiv_pos_as_xyz
'x,y,z'
'x,-y,z'
'x+1/2,y+1/2,z'
'x+1/2,-y+1/2,z'
loop_
_atom_site_label
_atom_site_type_symbol
_atom_site_fract_x
_atom_site_fract_y
_atom_site_fract_z
Sm1 Sm 0.000 0.000 0.000
Sm2 Sm 0.083 0.000 0.587
Ga1 Ga 0.190 0.500 0.983
Ga2 Ga 0.216 0.500 0.413
Ga3 Ga 0.377 0.000 0.191
Ni1 Ni 0.372 0.000 0.573
```

Peak list (8 most intense, 10 to 90 degrees two-theta, in order of rising 2θ)
- 2θ 23.5, I 17, (1 1 0)
- 2θ 33.6, I 16, (1 1 1)
- 2θ 34.0, I 100, (1 1 -2)
- 2θ 34.4, I 47, (3 1 -2)
- 2θ 34.8, I 23, (4 0 -2)
- 2θ 41.1, I 33, (0 2 0)
- 2θ 41.6, I 46, (3 1 0)
- 2θ 54.9, I 14, (4 2 -2)

2.
Simulated powder diffractogram
Compound: Ga3Ni12Sn
Radiation: a wavelength of 1.5418 Å
Structure: a structure optimized by DFT (PBE)

Cell and atoms:
```
data_Ga3Ni12Sn
_cell_length_a 3.624
_cell_length_b 3.624
_cell_length_c 14.376
_cell_angle_alpha 90.00
_cell_angle_beta 90.00
_cell_angle_gamma 90.00
_symmetry_space_group_name_H-M 'P 4/m m m'
_symmetry_Int_Tables_number 123
_symmetry_space_group_name_Hall '-P 4 2'
loop_
_atom_site_label
_atom_site_type_symbol
_atom_site_fract_x
_atom_site_fract_y
_atom_site_fract_z
Ga1 Ga 0.000 0.000 0.000
Ga2 Ga 0.000 0.000 0.246
Ni1 Ni 0.000 0.500 0.124
Ni2 Ni 0.000 0.500 0.367
Ni3 Ni 0.500 0.500 0.000
Ni4 Ni 0.500 0.500 0.246
Ni5 Ni 0.500 0.500 0.500
Sn1 Sn 0.000 0.000 0.500
```

Peak list (8 most intense, 10 to 90 degrees two-theta, in order of rising 2θ)
- 2θ 24.6, I 1, (1 0 0)
- 2θ 39.9, I 1, (1 1 3)
- 2θ 43.4, I 100, (1 1 4)
- 2θ 50.4, I 32, (2 0 0)
- 2θ 50.8, I 15, (0 0 8)
- 2θ 74.0, I 9, (2 2 0)
- 2θ 74.3, I 18, (2 0 8)
- 2θ 89.8, I 23, (3 1 4)

3.
Simulated powder diffractogram
Compound: Ga3Ni5Sn2
Radiation: a wavelength of 1.5418 Å
Structure: a structure optimized by DFT (PBE)

Cell and atoms:
```
data_Ga3Ni5Sn2
_cell_length_a 4.106
_cell_length_b 12.399
_cell_length_c 11.546
_cell_angle_alpha 90.00
_cell_angle_beta 90.00
_cell_angle_gamma 90.00
_symmetry_space_group_name_H-M 'C m c m'
_symmetry_Int_Tables_number 63
_symmetry_space_group_name_Hall '-C 2c 2'
loop_
_atom_site_label
_atom_site_type_symbol
_atom_site_fract_x
_atom_site_fract_y
_atom_site_fract_z
Ga1 Ga 0.000 0.000 0.000
Ga2 Ga 0.000 0.332 0.026
Ni1 Ni 0.000 0.159 0.123
Ni2 Ni 0.000 0.339 0.250
Ni3 Ni 0.000 0.480 0.620
Sn1 Sn 0.000 0.032 0.750
Sn2 Sn 0.000 0.292 0.750
```

Peak list (8 most intense, 10 to 90 degrees two-theta, in order of rising 2θ)
- 2θ 30.7, I 10, (1 3 0)
- 2θ 32.7, I 18, (1 1 3)
- 2θ 43.3, I 21, (1 5 1)
- 2θ 43.8, I 12, (0 6 0)
- 2θ 44.2, I 100, (2 0 0)
- 2θ 63.9, I 10, (2 6 0)
- 2θ 81.2, I 12, (3 3 4)
- 2θ 81.5, I 6, (2 0 8)

4.
Simulated powder diffractogram
Compound: Ta2GaNi3
Radiation: a wavelength of 1.5418 Å
Structure: a structure optimized by DFT (PBE)

Cell and atoms:
```
data_Ta2GaNi3
_cell_length_a 4.9088
_cell_length_b 4.9088
_cell_length_c 7.7733
_cell_angle_alpha 90.00
_cell_angle_beta 90.00
_cell_angle_gamma 120.00
_symmetry_space_group_name_H-M 'P 63/m m c'
_symmetry_Int_Tables_number 194
_symmetry_space_group_name_Hall '-P 6c 2c'
loop_
_atom_site_label
_atom_site_type_symbol
_atom_site_fract_x
_atom_site_fract_y
_atom_site_fract_z
Ta1 Ta 0.3333 0.6667 0.0597
Ga1 Ga 0.0000 0.0000 0.0000
Ni1 Ni 0.1719 0.3438 0.7500
```

Peak list (8 most intense, 10 to 90 degrees two-theta, in order of rising 2θ)
- 2θ 36.6, I 69, (1 1 0)
- 2θ 40.8, I 88, (1 0 3)
- 2θ 43.6, I 100, (1 1 2)
- 2θ 44.2, I 48, (2 0 1)
- 2θ 68.7, I 35, (2 1 3)
- 2θ 70.8, I 23, (3 0 2)
- 2θ 75.8, I 25, (2 0 5)
- 2θ 77.8, I 21, (2 2 0)

5.
Simulated powder diffractogram
Compound: Tb6GaNi2
Radiation: a wavelength of 1.5418 Å
Structure: a structure optimized by DFT (PBE)

Cell and atoms:
```
data_Tb6GaNi2
_cell_length_a 9.315
_cell_length_b 9.571
_cell_length_c 10.004
_cell_angle_alpha 90.00
_cell_angle_beta 90.00
_cell_angle_gamma 90.00
_symmetry_space_group_name_H-M 'I m m m'
_symmetry_Int_Tables_number 71
_symmetry_space_group_name_Hall '-I 2 2'
loop_
_atom_site_label
_atom_site_type_symbol
_atom_site_fract_x
_atom_site_fract_y
_atom_site_fract_z
Tb1 Tb 0.000 0.197 0.234
Tb2 Tb 0.192 0.500 0.178
Tb3 Tb 0.214 0.318 0.500
Ga1 Ga 0.000 0.000 0.000
Ga2 Ga 0.000 0.000 0.500
Ni1 Ni 0.000 0.356 0.000
Ni2 Ni 0.000 0.500 0.379
```

Peak list (8 most intense, 10 to 90 degrees two-theta, in order of rising 2θ)
- 2θ 28.4, I 23, (0 1 3)
- 2θ 30.3, I 27, (3 1 0)
- 2θ 32.2, I 100, (2 2 2)
- 2θ 34.4, I 44, (2 1 3)
- 2θ 34.7, I 57, (1 3 2)
- 2θ 35.3, I 45, (2 3 1)
- 2θ 35.6, I 22, (3 2 1)
- 2θ 60.4, I 30, (5 3 2)